This entry pairs a crystal structure of LaSm2MnN4 with its calculated powder XRD pattern. Radiation: Cu Kα (weighted mean of Kα1 and Kα2). Structure: DFT lattice parameters and positions (GGA-PBE).
Intensities are scaled so that the largest is 100.

Largest 8 diffraction maxima, by angle, 10 to 80 degrees two-theta:
2θ (°)	intensity
27.0	72.7
29.9	34.1
30.2	53.9
30.6	100.0
35.1	39.0
37.5	72.1
46.6	30.0
51.7	42.1

Crystal structure
```
data_LaSm2MnN4
_chemical_formula_sum 'La4 Sm8 Mn4 N16'
_cell_length_a 3.496
_cell_length_b 11.841
_cell_length_c 11.964
_cell_angle_alpha 90.00
_cell_angle_beta 90.00
_cell_angle_gamma 90.00
_symmetry_space_group_name_H-M 'C m c m'
_symmetry_Int_Tables_number 63
_symmetry_space_group_name_Hall '-C 2c 2'
loop_
_atom_site_label
_atom_site_type_symbol
_atom_site_fract_x
_atom_site_fract_y
_atom_site_fract_z
La1 La 0.000 0.103 0.250
Sm1 Sm 0.000 0.369 0.045
Mn1 Mn 0.000 0.166 0.750
N1 N 0.000 0.000 0.000
N2 N 0.000 0.270 0.631
N3 N 0.000 0.420 0.250
```